[1]
Theoretical X-ray diffraction stick pattern of CaMn3P3O13 for Cu Ka, from a structure optimized by DFT (GGA+U).
No peak broadening, texture or thermal motion is included.

Most intense lines, 5° ≤ 2θ ≤ 70°, in order of rising 2θ:
two_theta, Rel. int.
19.2, 1000
23.2, 708
26.1, 664
28.5, 873
29.8, 695
30.4, 826

Crystal structure
```
data_CaMn3P3O13
_chemical_formula_sum 'Ca2 Mn6 P6 O26'
_symmetry_space_group_name_H-M 'P 1 21/m 1'
_symmetry_Int_Tables_number 11
_cell_length_a 7.779
_cell_length_b 6.265
_cell_length_c 10.376
_cell_angle_alpha 90.00
_cell_angle_beta 99.45
_cell_angle_gamma 90.00
loop_
_symmetry_equiv_pos_as_xyz
'x,y,z'
'-x,-y,-z'
'-x,y+1/2,-z'
'x,-y+1/2,z'
loop_
_atom_site_label
_atom_site_fract_x
_atom_site_fract_y
_atom_site_fract_z
Ca1 0.155 0.250 0.193
Mn1 0.151 0.250 0.794
Mn2 0.271 0.750 0.435
Mn3 0.500 0.000 0.000
P1 0.184 0.750 0.114
P2 0.242 0.750 0.760
P3 0.290 0.250 0.515
O1 0.002 0.250 0.966
O2 0.124 0.559 0.787
O3 0.140 0.750 0.257
O4 0.151 0.250 0.606
O5 0.250 0.059 0.416
O6 0.288 0.545 0.097
O7 0.288 0.750 0.624
O8 0.382 0.250 0.914
O9 0.411 0.750 0.862
O10 0.474 0.250 0.590
```

[2]
Theoretical X-ray diffraction stick pattern of VPH6C2N3O7 for Cu Ka, from a structure optimized by DFT (GGA+U).
No peak broadening, texture or thermal motion is included.

Most intense lines, 5° ≤ 2θ ≤ 70°, in order of rising 2θ:
two_theta, Rel. int.
10.8, 136
11.5, 1000
18.3, 515
21.0, 150
26.0, 232
29.0, 492

Crystal structure
```
data_VPH6C2N3O7
_chemical_formula_sum 'V2 P2 H12 C4 N6 O14'
_symmetry_space_group_name_H-M 'P -1'
_symmetry_Int_Tables_number 2
_cell_length_a 6.272
_cell_length_b 8.302
_cell_length_c 9.165
_cell_angle_alpha 68.04
_cell_angle_beta 70.83
_cell_angle_gamma 78.51
loop_
_symmetry_equiv_pos_as_xyz
'x,y,z'
'-x,-y,-z'
loop_
_atom_site_label
_atom_site_fract_x
_atom_site_fract_y
_atom_site_fract_z
V1 0.163 0.074 0.154
P1 0.328 0.848 0.909
H1 0.155 0.553 0.591
H2 0.203 0.336 0.708
H3 0.278 0.631 0.300
H4 0.392 0.131 0.588
H5 0.435 0.476 0.208
H6 0.470 0.185 0.375
C1 0.026 0.900 0.522
C2 0.330 0.389 0.460
N1 0.221 0.429 0.596
N2 0.350 0.507 0.312
N3 0.422 0.224 0.476
O1 0.024 0.191 0.327
O2 0.113 0.841 0.406
O3 0.150 0.961 0.813
O4 0.193 0.241 0.990
O5 0.268 0.889 0.074
O6 0.341 0.658 0.940
O7 0.444 0.066 0.205
```

[3]
Theoretical X-ray diffraction stick pattern of MnCo3O8 for Cu Ka, from a structure optimized by DFT (GGA+U).
No peak broadening, texture or thermal motion is included.

Most intense lines, 5° ≤ 2θ ≤ 70°, in order of rising 2θ:
two_theta, Rel. int.
18.8, 1000
36.8, 333
44.7, 453
59.0, 147
65.2, 128
68.6, 135

Crystal structure
```
data_MnCo3O8
_chemical_formula_sum 'Mn3 Co9 O24'
_symmetry_space_group_name_H-M 'R -3 m'
_symmetry_Int_Tables_number 166
_symmetry_space_group_name_Hall '-R 3 2"'
_cell_length_a 5.7217
_cell_length_b 5.7217
_cell_length_c 14.1271
_cell_angle_alpha 90.00
_cell_angle_beta 90.00
_cell_angle_gamma 120.00
loop_
_atom_site_label
_atom_site_fract_x
_atom_site_fract_y
_atom_site_fract_z
Mn1 0.0000 0.0000 0.0000
Co1 0.0000 0.5000 0.0000
O1 0.0000 0.0000 0.2673
O2 0.0063 0.5032 0.2665
```

[4]
Theoretical X-ray diffraction stick pattern of MgMn2O4 for Cu Ka, from a structure optimized by DFT (GGA+U).
No peak broadening, texture or thermal motion is included.

Most intense lines, 5° ≤ 2θ ≤ 70°, in order of rising 2θ:
two_theta, Rel. int.
18.1, 1000
27.3, 903
32.1, 523
34.5, 417
34.9, 381
35.0, 378

Crystal structure
```
data_MgMn2O4
_chemical_formula_sum 'Mg1 Mn2 O4'
_symmetry_space_group_name_H-M 'P 1'
_symmetry_Int_Tables_number 1
_cell_length_a 3.166
_cell_length_b 3.174
_cell_length_c 9.920
_cell_angle_alpha 96.35
_cell_angle_beta 93.33
_cell_angle_gamma 117.43
loop_
_symmetry_equiv_pos_as_xyz
'x,y,z'
loop_
_atom_site_label
_atom_site_fract_x
_atom_site_fract_y
_atom_site_fract_z
Mg1 0.000 0.000 0.000
Mn1 0.569 0.118 0.692
Mn2 0.760 0.519 0.283
O1 0.202 0.401 0.607
O2 0.439 0.889 0.332
O3 0.689 0.379 0.068
O4 0.935 0.858 0.797
```

[5]
Theoretical X-ray diffraction stick pattern of Ba3V2S4O3 for Cu Ka, from a structure optimized by DFT (GGA+U).
No peak broadening, texture or thermal motion is included.

Most intense lines, 5° ≤ 2θ ≤ 70°, in order of rising 2θ:
two_theta, Rel. int.
22.6, 1000
24.7, 212
26.4, 405
30.0, 481
30.3, 211
34.2, 308

Crystal structure
```
data_Ba3V2S4O3
_chemical_formula_sum 'Ba6 V4 S8 O6'
_symmetry_space_group_name_H-M 'P 1'
_symmetry_Int_Tables_number 1
_cell_length_a 6.072
_cell_length_b 10.304
_cell_length_c 10.307
_cell_angle_alpha 119.84
_cell_angle_beta 90.21
_cell_angle_gamma 90.02
loop_
_symmetry_equiv_pos_as_xyz
'x,y,z'
loop_
_atom_site_label
_atom_site_fract_x
_atom_site_fract_y
_atom_site_fract_z
Ba1 0.000 0.000 0.000
Ba2 0.000 0.241 0.687
Ba3 0.000 0.554 0.241
Ba4 0.500 0.309 0.377
Ba5 0.500 0.864 0.618
Ba6 0.501 0.622 0.931
V1 0.232 0.932 0.309
V2 0.364 0.265 0.975
V3 0.732 0.932 0.309
V4 0.864 0.599 0.642
S1 0.231 0.598 0.642
S2 0.480 0.107 0.520
S3 0.483 0.721 0.273
S4 0.485 0.968 0.135
S5 0.731 0.265 0.976
S6 0.978 0.896 0.483
S7 0.980 0.142 0.345
S8 0.983 0.757 0.098
O1 0.263 0.091 0.844
O2 0.264 0.307 0.149
O3 0.264 0.397 0.933
O4 0.763 0.556 0.468
O5 0.764 0.467 0.685
O6 0.764 0.772 0.773
```

[6]
Theoretical X-ray diffraction stick pattern of PbWO2 for Cu Ka, from a structure optimized by DFT (GGA+U).
No peak broadening, texture or thermal motion is included.

Most intense lines, 5° ≤ 2θ ≤ 70°, in order of rising 2θ:
two_theta, Rel. int.
27.9, 412
29.9, 1000
37.6, 359
47.5, 369
50.6, 245
63.1, 279

Crystal structure
```
data_PbWO2
_chemical_formula_sum 'Pb8 W8 O16'
_symmetry_space_group_name_H-M 'I 41/a'
_symmetry_Int_Tables_number 88
_cell_length_a 6.771
_cell_length_b 6.771
_cell_length_c 12.775
_cell_angle_alpha 90.00
_cell_angle_beta 90.00
_cell_angle_gamma 90.00
loop_
_symmetry_equiv_pos_as_xyz
'x,y,z'
'-x,-y,-z'
'-y+3/4,x+1/4,z+1/4'
'y+3/4,-x+1/4,-z+1/4'
'-x+1/2,-y,z+1/2'
'x+1/2,y,-z+1/2'
'y+3/4,-x+3/4,z+3/4'
'-y+3/4,x+3/4,-z+3/4'
'x+1/2,y+1/2,z+1/2'
'-x+1/2,-y+1/2,-z+1/2'
'-y+1/4,x+3/4,z+3/4'
'y+1/4,-x+3/4,-z+3/4'
'-x,-y+1/2,z'
'x,y+1/2,-z'
'y+1/4,-x+1/4,z+1/4'
'-y+1/4,x+1/4,-z+1/4'
loop_
_atom_site_label
_atom_site_fract_x
_atom_site_fract_y
_atom_site_fract_z
Pb1 0.000 0.000 0.000
W1 0.000 0.000 0.500
O1 0.012 0.434 0.757
```